Diffraction record for Rb2NpO3F3. The X-ray diffraction stick pattern is theoretical, not measured: it uses a cell relaxed with PBE and a wavelength of 1.5418 Å.
Peak positions follow from Bragg's law for the DFT cell and can differ from measured ones.

Crystal structure
```
data_Rb2NpO3F3
_symmetry_space_group_name_H-M 'P -6 2 m'
_symmetry_Int_Tables_number 189
_symmetry_space_group_name_Hall 'P -6 -2'
_cell_length_a 7.0626
_cell_length_b 7.0626
_cell_length_c 3.3007
_cell_angle_alpha 90.00
_cell_angle_beta 90.00
_cell_angle_gamma 120.00
loop_
_atom_site_label
_atom_site_type_symbol
_atom_site_fract_x
_atom_site_fract_y
_atom_site_fract_z
Rb1 Rb 0.3333 0.6667 0.0000
Np1 Np 0.0000 0.0000 0.5000
O1 O 0.0000 0.8045 0.0000
F1 F 0.0000 0.3374 0.5000
```

Principal peaks in the range 2θ = 15–90°, in order of falling intensity:
| 2theta | I (rel.) | (hkl) |
| --- | --- | --- |
| 25.22 | 100 | 1 1 0 |
| 30.78 | 72 | 1 0 1 |
| 48.05 | 59 | 2 1 1 |
| 40.20 | 46 | 2 0 1 |
| 44.43 | 32 | 3 0 0 |
| 61.45 | 26 | 3 1 1 |
| 62.08 | 17 | 1 1 2 |
| 73.31 | 16 | 3 2 1 |
| 73.88 | 14 | 3 0 2 |
| 51.78 | 14 | 2 2 0 |